No. 1
The following is a calculated powder XRD pattern of CeNiPt3. It was derived from a cell relaxed with PBE, using Cu Kα, 1.54184 Å.
Kinematic intensities with the Lorentz-polarization factor, no thermal factor.

Peak list (10 most intense, 10° ≤ 2θ ≤ 90°, in order of rising 2θ)
30.5 deg, d 2.929, I 100
33.3 deg, d 2.689, I 41
35.6 deg, d 2.520, I 29
35.9 deg, d 2.501, I 81
40.1 deg, d 2.251, I 43
41.1 deg, d 2.199, I 32
45.0 deg, d 2.013, I 28
45.8 deg, d 1.981, I 30
49.8 deg, d 1.832, I 27
55.7 deg, d 1.651, I 27

Crystal structure
```
CeNiPt3
1.0
5.378 0.000 0.000
0.000 7.228 0.000
0.000 0.000 5.003
Ce Ni Pt
2 2 6
Cartesian
0.000 0.000 0.000
2.689 3.614 0.000
0.000 3.614 2.501
2.689 0.000 2.501
0.000 3.614 0.000
0.549 1.275 2.501
2.140 4.889 2.501
2.689 0.000 0.000
3.238 2.339 2.501
4.829 5.953 2.501
```

***

No. 2
The following is a calculated powder XRD pattern of LiNd4S7. It was derived from a cell relaxed with PBE, using Cu Kα, 1.54184 Å.
Kinematic intensities with the Lorentz-polarization factor, no thermal factor.

Peak list (10 most intense, 10° ≤ 2θ ≤ 90°, in order of rising 2θ)
18.9 deg, d 4.701, I 46
23.3 deg, d 3.814, I 86
23.8 deg, d 3.745, I 41
25.5 deg, d 3.499, I 50
26.9 deg, d 3.311, I 31
29.9 deg, d 2.991, I 56
31.0 deg, d 2.884, I 100
32.9 deg, d 2.718, I 37
34.1 deg, d 2.627, I 38
45.2 deg, d 2.008, I 59

Crystal structure
```
LiNd4S7
1.0
6.721 -2.009 0.000
6.721 2.009 0.000
-4.382 0.000 10.868
Li Nd S
1 4 7
Cartesian
0.000 0.000 0.000
-0.018 0.000 8.277
6.585 0.000 3.494
10.096 0.000 1.208
9.801 0.000 6.109
1.448 0.000 1.981
1.188 0.000 5.396
5.256 0.000 0.671
5.080 0.000 6.705
4.991 0.000 9.428
8.628 0.000 8.525
11.353 0.000 3.712
```

***

No. 3
The following is a calculated powder XRD pattern of CsHfP2S8. It was derived from a cell relaxed with PBE, using Cu Kα, 1.54184 Å.
Kinematic intensities with the Lorentz-polarization factor, no thermal factor.

Peak list (10 most intense, 10° ≤ 2θ ≤ 90°, in order of rising 2θ)
16.7 deg, d 5.321, I 64
19.0 deg, d 4.676, I 23
24.7 deg, d 3.605, I 100
29.1 deg, d 3.072, I 36
34.5 deg, d 2.603, I 51
38.5 deg, d 2.338, I 30
40.5 deg, d 2.226, I 28
47.5 deg, d 1.916, I 25
49.0 deg, d 1.861, I 31
51.5 deg, d 1.774, I 24

Crystal structure
```
CsHfP2S8
1.0
6.144 0.000 0.000
-3.072 5.321 0.000
0.000 0.000 9.805
Cs Hf P S
1 1 2 8
Cartesian
0.000 0.000 0.000
0.000 0.000 4.902
0.000 3.547 6.955
3.072 1.773 2.849
-1.018 1.836 6.356
0.000 3.547 8.957
-0.973 5.284 6.356
1.081 1.800 3.449
1.991 3.521 6.356
4.044 0.036 3.449
3.072 1.773 0.848
4.090 3.485 3.449
```

***

No. 4
The following is a calculated powder XRD pattern of DyPu2Se4. It was derived from a cell relaxed with PBE, using Cu Kα, 1.54184 Å.
Kinematic intensities with the Lorentz-polarization factor, no thermal factor.

Peak list (10 most intense, 10° ≤ 2θ ≤ 90°, in order of rising 2θ)
13.2 deg, d 6.706, I 47
25.3 deg, d 3.519, I 20
26.6 deg, d 3.355, I 29
30.6 deg, d 2.921, I 100
31.1 deg, d 2.875, I 48
43.8 deg, d 2.065, I 38
44.2 deg, d 2.049, I 73
54.7 deg, d 1.677, I 39
72.6 deg, d 1.302, I 17
73.4 deg, d 1.290, I 16

Crystal structure
```
DyPu2Se4
1.0
-4.126 4.135 5.751
4.126 -4.135 5.751
4.126 4.135 -5.751
Dy Pu Se
2 4 8
Cartesian
-2.063 2.068 2.875
2.063 2.068 2.875
0.000 0.000 0.000
2.063 2.068 -2.875
2.063 -2.068 2.875
0.000 4.135 0.000
4.126 0.031 2.820
2.011 2.068 0.020
2.115 -2.068 5.771
0.000 0.031 2.931
4.126 4.104 2.820
2.011 6.203 -0.020
2.115 2.068 5.731
0.000 4.104 2.931
```

***

No. 5
The following is a calculated powder XRD pattern of SrLa3Pt. It was derived from a cell relaxed with PBE, using Cu Kα, 1.54184 Å.
Kinematic intensities with the Lorentz-polarization factor, no thermal factor.

Peak list (10 most intense, 10° ≤ 2θ ≤ 90°, in order of rising 2θ)
14.4 deg, d 6.139, I 32
17.3 deg, d 5.134, I 33
26.8 deg, d 3.329, I 26
29.0 deg, d 3.075, I 51
30.1 deg, d 2.967, I 100
34.1 deg, d 2.631, I 47
34.5 deg, d 2.601, I 38
36.5 deg, d 2.460, I 39
41.3 deg, d 2.186, I 31
42.8 deg, d 2.115, I 21

Crystal structure
```
SrLa3Pt
1.0
6.317 0.000 0.000
0.000 8.747 0.000
-1.598 0.000 6.581
Sr La Pt
2 6 2
Cartesian
0.727 2.187 1.351
3.992 6.560 5.230
0.819 6.560 2.346
0.794 0.252 4.905
0.794 4.121 4.905
3.925 4.626 1.676
3.925 8.495 1.676
3.900 2.187 4.236
0.924 6.560 6.498
3.795 2.187 0.083
```

***

No. 6
The following is a calculated powder XRD pattern of CrPH. It was derived from a cell relaxed with PBE, using Cu Kα, 1.54184 Å.
Kinematic intensities with the Lorentz-polarization factor, no thermal factor.

Peak list (10 most intense, 10° ≤ 2θ ≤ 90°, in order of rising 2θ)
14.2 deg, d 6.246, I 100
28.6 deg, d 3.122, I 25
38.1 deg, d 2.360, I 26
46.0 deg, d 1.975, I 37
50.6 deg, d 1.803, I 17
52.9 deg, d 1.732, I 11
57.1 deg, d 1.613, I 12
59.2 deg, d 1.561, I 10
74.4 deg, d 1.275, I 6
81.6 deg, d 1.180, I 8

Crystal structure
```
CrPH
1.0
3.605 0.000 0.000
0.000 3.605 0.000
0.000 0.000 6.246
Cr P H
2 2 2
Cartesian
0.901 2.704 0.000
2.704 0.901 0.000
0.901 0.901 1.415
2.704 2.704 4.831
0.901 0.901 2.845
2.704 2.704 3.401
```

***

No. 7
The following is a calculated powder XRD pattern of AuBr4. It was derived from a cell relaxed with PBE, using Cu Kα, 1.54184 Å.
Kinematic intensities with the Lorentz-polarization factor, no thermal factor.

Peak list (10 most intense, 10° ≤ 2θ ≤ 90°, in order of rising 2θ)
17.0 deg, d 5.220, I 48
17.3 deg, d 5.135, I 58
17.9 deg, d 4.965, I 22
27.0 deg, d 3.297, I 68
31.8 deg, d 2.816, I 100
38.4 deg, d 2.342, I 31
39.7 deg, d 2.271, I 21
43.6 deg, d 2.078, I 21
45.3 deg, d 2.000, I 27
46.4 deg, d 1.955, I 28

Crystal structure
```
AuBr4
1.0
3.386 -6.234 0.000
3.386 6.234 0.000
-0.406 0.000 9.550
Au Br
2 8
Cartesian
3.386 4.208 0.000
3.386 -4.208 0.000
1.575 2.117 8.065
1.100 0.000 1.592
2.206 0.000 3.958
1.575 -2.117 8.065
4.791 2.117 1.485
4.160 0.000 5.592
5.266 0.000 7.959
4.791 -2.117 1.485
```

***

No. 8
The following is a calculated powder XRD pattern of Ta2Hg4H. It was derived from a cell relaxed with PBE, using Cu Kα, 1.54184 Å.
Kinematic intensities with the Lorentz-polarization factor, no thermal factor.

Peak list (10 most intense, 10° ≤ 2θ ≤ 90°, in order of rising 2θ)
32.5 deg, d 2.752, I 100
36.1 deg, d 2.486, I 45
38.8 deg, d 2.319, I 92
43.2 deg, d 2.093, I 60
57.6 deg, d 1.601, I 48
62.8 deg, d 1.480, I 20
70.7 deg, d 1.332, I 19
72.5 deg, d 1.304, I 21
74.6 deg, d 1.272, I 23
76.3 deg, d 1.248, I 26

Crystal structure
```
Ta2Hg4H
1.0
-2.093 2.093 7.458
2.093 -2.093 7.458
2.093 2.093 -7.458
Ta Hg H
2 4 1
Cartesian
0.000 0.000 2.276
0.000 0.000 12.639
2.093 0.000 0.000
0.000 0.000 4.972
0.000 2.093 0.000
0.000 0.000 9.943
0.000 0.000 7.458
```